# 1
Theoretical powder XRD pattern
Compound: Pr2SbAs3Ir4
Radiation: CuKα
Structure: a PBE-relaxed structure

The 12 most intense peaks (5° ≤ 2θ ≤ 70°), low angle first:
| 2theta | I_rel | hkl |
| --- | --- | --- |
| 16.59 | 8 | 0 0 2 |
| 26.68 | 15 | 1 0 2 |
| 30.70 | 13 | 1 1 1 |
| 32.70 | 40 | 1 0 3 |
| 34.04 | 100 | 1 1 2 |
| 42.23 | 63 | 2 0 0 |
| 45.27 | 34 | 1 1 4 |
| 47.55 | 25 | 1 0 5 |
| 54.41 | 19 | 2 1 3 |
| 60.29 | 8 | 1 1 6 |
| 61.25 | 23 | 2 2 0 |
| 65.45 | 20 | 2 1 5 |

```
Pr2SbAs3Ir4
1.0
4.281 0.000 0.000
0.000 4.281 0.000
0.000 0.000 10.688
Pr Sb As Ir
2 1 3 4
Direct
0.000 0.500 0.238 Pr
0.500 0.000 0.762 Pr
0.000 0.000 0.500 Sb
0.000 0.500 0.866 As
0.500 0.000 0.134 As
0.500 0.500 0.500 As
0.000 0.000 0.000 Ir
0.000 0.500 0.638 Ir
0.500 0.000 0.362 Ir
0.500 0.500 0.000 Ir
```

=====

# 2
Theoretical powder XRD pattern
Compound: RbAsIrSe
Radiation: CuKα
Structure: a PBE-relaxed structure

The 12 most intense peaks (5° ≤ 2θ ≤ 70°), low angle first:
| 2theta | I_rel | hkl |
| --- | --- | --- |
| 12.21 | 88 | 0 0 3 |
| 24.55 | 24 | 0 0 6 |
| 26.11 | 22 | 1 0 1 |
| 27.08 | 32 | 0 1 2 |
| 33.11 | 100 | 0 1 5 |
| 42.30 | 25 | 0 1 8 |
| 45.46 | 52 | 1 1 0 |
| 47.25 | 19 | 1 1 3 |
| 49.51 | 16 | 1 0 10 |
| 52.34 | 18 | 1 1 6 |
| 53.38 | 15 | 0 1 11 |
| 57.38 | 21 | 2 0 5 |

```
RbAsIrSe
1.0
3.990 0.000 0.000
-1.995 3.455 0.000
0.000 0.000 21.753
Rb As Ir Se
3 3 3 3
Direct
0.000 0.000 0.000 Rb
0.333 0.667 0.667 Rb
0.667 0.333 0.333 Rb
0.000 0.000 0.448 As
0.333 0.667 0.115 As
0.667 0.333 0.782 As
0.000 0.000 0.824 Ir
0.333 0.667 0.491 Ir
0.667 0.333 0.158 Ir
0.000 0.000 0.216 Se
0.333 0.667 0.883 Se
0.667 0.333 0.549 Se
```

=====

# 3
Theoretical powder XRD pattern
Compound: TbAs2IrRh5
Radiation: CuKα
Structure: a PBE-relaxed structure

The 12 most intense peaks (5° ≤ 2θ ≤ 70°), low angle first:
| 2theta | I_rel | hkl |
| --- | --- | --- |
| 7.87 | 42 | 0 0 1 |
| 22.70 | 36 | 1 0 0 |
| 23.76 | 27 | 0 0 3 |
| 24.06 | 29 | 1 0 1 |
| 33.10 | 37 | 1 0 3 |
| 33.32 | 41 | 1 1 1 |
| 36.16 | 49 | 1 1 2 |
| 40.51 | 33 | 1 1 3 |
| 46.03 | 100 | 1 1 4 |
| 46.37 | 66 | 2 0 0 |
| 67.66 | 21 | 2 2 0 |
| 69.46 | 22 | 2 0 6 |

```
TbAs2IrRh5
1.0
3.917 0.000 0.000
0.000 3.917 0.000
0.000 0.000 11.233
Tb As Ir Rh
1 2 1 5
Direct
0.000 0.000 0.000 Tb
0.500 0.500 0.213 As
0.500 0.500 0.787 As
0.500 0.500 0.500 Ir
0.000 0.500 0.350 Rh
0.000 0.500 0.650 Rh
0.500 0.000 0.350 Rh
0.500 0.000 0.650 Rh
0.500 0.500 0.000 Rh
```